Computed X-ray powder pattern of Zr2AlN for Cu Ka, from a crystal structure in the Materials Project, relaxed with PBE.

Crystal structure
Cell lengths 3.2622, 3.2622, 14.4279 Å; angles 90.00, 90.00, 120.00 degrees
Sites, in units of the cell vectors:
1 Zr 0.3333 0.6667 0.0891
2 Zr 0.3333 0.6667 0.4109
3 Zr 0.6667 0.3333 0.5891
4 Zr 0.6667 0.3333 0.9109
5 Al 0.3333 0.6667 0.7500
6 Al 0.6667 0.3333 0.2500
7 N 0.0000 0.0000 0.0000
8 N 0.0000 0.0000 0.5000

Largest 10 diffraction maxima, sorted by position, 2θ = 10–90°:
| two_theta | d [Å] | Rel. int. |
| --- | --- | --- |
| 12.3 | 7.214 | 34 |
| 31.7 | 2.825 | 19 |
| 32.3 | 2.773 | 17 |
| 36.9 | 2.436 | 100 |
| 37.4 | 2.405 | 18 |
| 49.8 | 1.831 | 17 |
| 56.4 | 1.631 | 21 |
| 67.1 | 1.394 | 15 |
| 69.3 | 1.355 | 15 |
| 69.7 | 1.350 | 17 |

***

Computed X-ray powder pattern of KZnBP2O8 for Cu Ka, from a crystal structure in the Materials Project, relaxed with PBE.

Crystal structure
Cell lengths 9.1150, 9.1150, 8.5235 Å; angles 90.93, 90.93, 90.51 degrees
Sites, in units of the cell vectors:
1 K 0.0305 0.9695 0.7500
2 K 0.4023 0.5977 0.7500
3 K 0.5977 0.4023 0.2500
4 K 0.9695 0.0305 0.2500
5 Zn 0.0661 0.6864 0.4388
6 Zn 0.3136 0.9339 0.0612
7 Zn 0.6864 0.0661 0.9388
8 Zn 0.9339 0.3136 0.5612
9 B 0.2046 0.4240 0.0737
10 B 0.4240 0.2046 0.5737
11 B 0.5760 0.7954 0.4263
12 B 0.7954 0.5760 0.9263
13 P 0.0528 0.6894 0.0594
14 P 0.2258 0.3887 0.4075
15 P 0.3106 0.9472 0.4406
16 P 0.3887 0.2258 0.9075
17 P 0.6113 0.7742 0.0925
18 P 0.6894 0.0528 0.5594
19 P 0.7742 0.6113 0.5925
20 P 0.9472 0.3106 0.9406
21 O 0.0078 0.3297 0.7767
22 O 0.0739 0.3294 0.0666
23 O 0.0975 0.2801 0.4155
24 O 0.1173 0.8422 0.0294
25 O 0.1578 0.8827 0.4706
26 O 0.1753 0.5752 0.0193
27 O 0.1987 0.5306 0.5030
28 O 0.2655 0.4281 0.2352
29 O 0.2801 0.0975 0.9155
30 O 0.3233 0.3742 0.9689
31 O 0.3294 0.0739 0.5666
32 O 0.3297 0.0078 0.2767
33 O 0.3742 0.3233 0.4689
34 O 0.4248 0.8247 0.4807
35 O 0.4281 0.2655 0.7352
36 O 0.4694 0.8013 0.9970
37 O 0.5306 0.1987 0.0030
38 O 0.5719 0.7345 0.2648
39 O 0.5752 0.1753 0.5193
40 O 0.6258 0.6767 0.5311
41 O 0.6703 0.9922 0.7233
42 O 0.6706 0.9261 0.4334
43 O 0.6767 0.6258 0.0311
44 O 0.7199 0.9025 0.0845
45 O 0.7345 0.5719 0.7648
46 O 0.8013 0.4694 0.4970
47 O 0.8247 0.4248 0.9807
48 O 0.8422 0.1173 0.5294
49 O 0.8827 0.1578 0.9706
50 O 0.9025 0.7199 0.5845
51 O 0.9261 0.6706 0.9334
52 O 0.9922 0.6703 0.2233

Largest 10 diffraction maxima, sorted by position, 2θ = 10–90°:
| two_theta | d [Å] | Rel. int. |
| --- | --- | --- |
| 14.3 | 6.174 | 81 |
| 20.8 | 4.261 | 100 |
| 21.7 | 4.091 | 55 |
| 24.1 | 3.698 | 95 |
| 25.0 | 3.559 | 70 |
| 29.4 | 3.038 | 65 |
| 29.5 | 3.026 | 56 |
| 30.2 | 2.962 | 62 |
| 31.1 | 2.874 | 70 |
| 42.3 | 2.137 | 55 |

***

Computed X-ray powder pattern of ScFe6Ge6 for Cu Ka, from a crystal structure in the Materials Project, relaxed with PBE.

Crystal structure
Cell lengths 5.0667, 5.0667, 8.0826 Å; angles 90.00, 90.00, 120.00 degrees
Sites, in units of the cell vectors:
1 Sc 0.0000 0.0000 0.0000
2 Fe 0.0000 0.5000 0.2489
3 Fe 0.0000 0.5000 0.7511
4 Fe 0.5000 0.0000 0.2489
5 Fe 0.5000 0.0000 0.7511
6 Fe 0.5000 0.5000 0.2489
7 Fe 0.5000 0.5000 0.7511
8 Ge 0.0000 0.0000 0.3419
9 Ge 0.0000 0.0000 0.6581
10 Ge 0.3333 0.6667 0.0000
11 Ge 0.3333 0.6667 0.5000
12 Ge 0.6667 0.3333 0.0000
13 Ge 0.6667 0.3333 0.5000

Largest 10 diffraction maxima, sorted by position, 2θ = 10–90°:
| two_theta | d [Å] | Rel. int. |
| --- | --- | --- |
| 35.4 | 2.533 | 61 |
| 39.2 | 2.296 | 24 |
| 41.1 | 2.194 | 44 |
| 42.1 | 2.146 | 84 |
| 44.9 | 2.021 | 25 |
| 47.1 | 1.928 | 100 |
| 49.7 | 1.835 | 34 |
| 73.9 | 1.282 | 20 |
| 75.0 | 1.267 | 31 |
| 80.8 | 1.189 | 27 |